1.
For FeCoOs, a crystal structure in Alexandria, relaxed with GGA-PBE gives the calculated powder diffraction line list in this record (CuKα).
No peak broadening, texture or thermal motion is included.

Top 8 peaks for 2θ from 10° to 90°, sorted by position:
h k l  2theta  d (Å)  I/Imax
0 0 2  23.37  3.806  40
0 1 1  27.26  3.271  55
1 0 1  36.63  2.454  26
1 1 0  42.91  2.108  100
0 1 3  43.54  2.078  96
1 0 3  50.34  1.813  93
1 2 3  73.97  1.281  38
2 1 3  89.02  1.100  24

Cell and atoms:
```
data_FeCoOs
_space_group_name_H-M_alt 'I m m 2'
_space_group_IT_number 44
_space_group_name_Hall 'I 2 -2'
_cell_length_a 2.5918
_cell_length_b 3.6226
_cell_length_c 7.6129
_cell_angle_alpha 90.00
_cell_angle_beta 90.00
_cell_angle_gamma 90.00
loop_
_atom_site_label
_atom_site_fract_x
_atom_site_fract_y
_atom_site_fract_z
Fe1 0.0000 0.0000 0.0000
Co1 0.0000 0.0000 0.3336
Os1 0.0000 0.0000 0.6674
```


2.
For Fe2CoTeOs, a crystal structure in Alexandria, relaxed with GGA-PBE gives the calculated powder diffraction line list in this record (CuKα).
No peak broadening, texture or thermal motion is included.

Top 8 peaks for 2θ from 10° to 90°, sorted by position:
h k l  2theta  d (Å)  I/Imax
1 0 0  20.22  4.391  23
1 1 0  28.75  3.105  40
1 1 1  35.03  2.562  100
0 0 2  39.77  2.267  32
2 0 0  41.11  2.196  57
2 0 2  58.53  1.577  39
3 1 1  70.99  1.328  25
2 2 2  74.00  1.281  19

Cell and atoms:
```
data_Fe2CoTeOs
_space_group_name_H-M_alt 'P 4/m m m'
_space_group_IT_number 123
_space_group_name_Hall '-P 4 2'
_cell_length_a 4.3914
_cell_length_b 4.3914
_cell_length_c 4.5335
_cell_angle_alpha 90.00
_cell_angle_beta 90.00
_cell_angle_gamma 90.00
loop_
_atom_site_label
_atom_site_fract_x
_atom_site_fract_y
_atom_site_fract_z
Fe1 0.0000 0.5000 0.0000
Co1 0.0000 0.0000 0.0000
Te1 0.5000 0.5000 0.5000
Os1 0.0000 0.0000 0.5000
```


3.
For FeCoP4, a crystal structure in Alexandria, relaxed with GGA-PBE gives the calculated powder diffraction line list in this record (CuKα).
No peak broadening, texture or thermal motion is included.

Top 8 peaks for 2θ from 10° to 90°, sorted by position:
h k l  2theta  d (Å)  I/Imax
1 1 -1  26.84  3.322  100
1 1 1  30.11  2.968  84
0 2 2  46.91  1.937  65
2 2 0  47.17  1.927  56
2 0 2  52.26  1.750  45
1 1 -3  53.88  1.702  47
1 3 -1  53.95  1.700  50
3 1 -1  54.35  1.688  48

Cell and atoms:
```
data_FeCoP4
_space_group_name_H-M_alt 'P 1 21/c 1'
_space_group_IT_number 14
_space_group_name_Hall '-P 2ybc'
_cell_length_a 5.3866
_cell_length_b 5.5952
_cell_length_c 5.4406
_cell_angle_alpha 90.00
_cell_angle_beta 99.39
_cell_angle_gamma 90.00
loop_
_atom_site_label
_atom_site_fract_x
_atom_site_fract_y
_atom_site_fract_z
Fe1 0.0000 0.0000 0.0000
Co1 0.5000 0.0000 0.5000
P1 0.1120 0.1372 0.3986
P2 0.3101 0.6977 0.2713
```


4.
For Pa3Fe8Co, a crystal structure in Alexandria, relaxed with GGA-PBE gives the calculated powder diffraction line list in this record (CuKα).
No peak broadening, texture or thermal motion is included.

Top 8 peaks for 2θ from 10° to 90°, sorted by position:
h k l  2theta  d (Å)  I/Imax
0 0 6  21.94  4.051  39
0 1 8  36.16  2.484  48
1 1 0  36.27  2.477  51
1 1 6  42.73  2.116  100
2 0 2  42.80  2.113  34
3 0 0  65.20  1.431  27
3 0 6  69.68  1.349  30
2 2 0  76.99  1.238  15

Cell and atoms:
```
data_Pa3Fe8Co
_space_group_name_H-M_alt 'R 3 m'
_space_group_IT_number 160
_space_group_name_Hall 'R 3 -2"'
_cell_length_a 4.9540
_cell_length_b 4.9540
_cell_length_c 24.3735
_cell_angle_alpha 90.00
_cell_angle_beta 90.00
_cell_angle_gamma 120.00
loop_
_atom_site_label
_atom_site_fract_x
_atom_site_fract_y
_atom_site_fract_z
Pa1 0.0000 0.0000 0.0000
Pa2 0.0000 0.0000 0.1329
Pa3 0.0000 0.0000 0.5134
Fe1 0.0000 0.0000 0.3190
Fe2 0.0000 0.0000 0.8194
Fe3 0.0004 0.5002 0.5726
Fe4 0.1676 0.3352 0.4001
Co1 0.0000 0.0000 0.6331
```